This entry pairs a crystal structure of Ho2In8Co with its simulated powder X-ray diffraction pattern. Radiation: Cu Kα X-rays. Structure: a structure optimized by DFT (PBE).

Atomic structure:
```
data_Ho2In8Co
_chemical_formula_sum 'Ho2 In8 Co1'
_cell_length_a 4.596
_cell_length_b 4.596
_cell_length_c 12.153
_cell_angle_alpha 90.00
_cell_angle_beta 90.00
_cell_angle_gamma 90.00
_symmetry_space_group_name_H-M 'P 4/m m m'
_symmetry_Int_Tables_number 123
_symmetry_space_group_name_Hall '-P 4 2'
loop_
_atom_site_label
_atom_site_type_symbol
_atom_site_fract_x
_atom_site_fract_y
_atom_site_fract_z
_atom_site_occupancy
Ho1 Ho 0.000 0.000 0.194 1
In1 In 0.000 0.500 0.000 1
In2 In 0.000 0.500 0.380 1
In3 In 0.500 0.500 0.193 1
Co1 Co 0.000 0.000 0.500 1
```

Most intense lines, 2θ = 10–90°, by intensity:
index	two_theta	I_rel
1 1 3	35.4	100
2 0 0	39.2	56
1 1 2	31.2	47
2 0 5	55.0	28
3 1 3	68.6	28
0 0 5	37.0	23
2 2 0	56.7	19
1 1 8	68.1	16
2 2 5	69.6	14
3 1 2	66.1	11

---

This entry pairs a crystal structure of Ho3In4Co2 with its simulated powder X-ray diffraction pattern. Radiation: Cu Kα X-rays. Structure: a structure optimized by DFT (PBE).

Atomic structure:
```
data_Ho3In4Co2
_chemical_formula_sum 'Ho3 In4 Co2'
_cell_length_a 8.1305
_cell_length_b 8.1305
_cell_length_c 3.4857
_cell_angle_alpha 90.00
_cell_angle_beta 90.00
_cell_angle_gamma 120.00
_symmetry_space_group_name_H-M 'P -6'
_symmetry_Int_Tables_number 174
loop_
_symmetry_equiv_pos_as_xyz
'x,y,z'
'-x+y,-x,-z'
'-y,x-y,z'
'x,y,-z'
'-x+y,-x,z'
'-y,x-y,-z'
loop_
_atom_site_label
_atom_site_type_symbol
_atom_site_fract_x
_atom_site_fract_y
_atom_site_fract_z
_atom_site_occupancy
Ho1 Ho 0.0843 0.4066 0.0000 1
In1 In 0.0000 0.0000 0.0000 1
In2 In 0.3855 0.2996 0.5000 1
Co1 Co 0.3333 0.6667 0.5000 1
Co2 Co 0.6667 0.3333 0.0000 1
```

Most intense lines, 2θ = 10–90°, by intensity:
index	two_theta	I_rel
1 1 1	33.9	100
1 2 0	33.7	88
2 0 1	36.3	52
2 1 1	42.7	43
3 0 0	38.4	36
2 3 1	63.5	34
1 2 2	63.8	27
4 0 1	58.8	18
0 0 2	52.5	16
3 0 2	66.9	13

---

This entry pairs a crystal structure of HoInCo2 with its simulated powder X-ray diffraction pattern. Radiation: Cu Kα X-rays. Structure: a structure optimized by DFT (PBE).

Atomic structure:
```
data_HoInCo2
_chemical_formula_sum 'Ho2 In2 Co4'
_cell_length_a 4.998
_cell_length_b 3.993
_cell_length_c 7.130
_cell_angle_alpha 90.00
_cell_angle_beta 90.00
_cell_angle_gamma 90.00
_symmetry_space_group_name_H-M 'P m m a'
_symmetry_Int_Tables_number 51
loop_
_symmetry_equiv_pos_as_xyz
'x,y,z'
'-x,-y,-z'
'-x+1/2,-y,z'
'x+1/2,y,-z'
'x+1/2,-y,-z'
'-x+1/2,y,z'
'-x,y,-z'
'x,-y,z'
loop_
_atom_site_label
_atom_site_type_symbol
_atom_site_fract_x
_atom_site_fract_y
_atom_site_fract_z
_atom_site_occupancy
Ho1 Ho 0.250 0.000 0.223 1
In1 In 0.250 0.500 0.852 1
Co1 Co 0.000 0.500 0.500 1
Co2 Co 0.250 0.000 0.591 1
```

Most intense lines, 2θ = 10–90°, by intensity:
index	two_theta	I_rel
1 1 1	31.3	100
1 1 2	38.3	58
0 2 0	45.4	30
2 0 0	35.9	28
1 0 3	42.1	27
2 0 2	44.3	24
0 1 2	33.7	21
2 1 4	68.8	19
2 1 1	44.6	19
0 0 3	37.9	18

---

This entry pairs a crystal structure of HoTmInCo2 with its simulated powder X-ray diffraction pattern. Radiation: Cu Kα X-rays. Structure: a structure optimized by DFT (PBE).

Atomic structure:
```
data_HoTmInCo2
_chemical_formula_sum 'Ho2 Tm2 In2 Co4'
_cell_length_a 3.859
_cell_length_b 3.797
_cell_length_c 13.676
_cell_angle_alpha 90.00
_cell_angle_beta 90.00
_cell_angle_gamma 90.00
_symmetry_space_group_name_H-M 'A m m 2'
_symmetry_Int_Tables_number 38
loop_
_symmetry_equiv_pos_as_xyz
'x,y,z'
'-x,-y,z'
'-x,y,z'
'x,-y,z'
'x,y+1/2,z+1/2'
'-x,-y+1/2,z+1/2'
'-x,y+1/2,z+1/2'
'x,-y+1/2,z+1/2'
loop_
_atom_site_label
_atom_site_type_symbol
_atom_site_fract_x
_atom_site_fract_y
_atom_site_fract_z
_atom_site_occupancy
Ho1 Ho 0.000 0.000 0.000 1
Tm1 Tm 0.000 0.000 0.721 1
In1 In 0.500 0.000 0.360 1
Co1 Co 0.500 0.000 0.155 1
Co2 Co 0.500 0.000 0.567 1
```

Most intense lines, 2θ = 10–90°, by intensity:
index	two_theta	I_rel
1 1 1	33.8	100
1 0 4	35.1	80
0 1 3	30.6	48
1 1 3	38.7	36
1 2 4	60.7	32
0 1 5	40.7	27
2 0 0	47.1	24
0 2 0	47.9	23
1 1 7	58.2	18
2 1 3	57.2	17

---

This entry pairs a crystal structure of Ho2ZnInCo with its simulated powder X-ray diffraction pattern. Radiation: Cu Kα X-rays. Structure: a structure optimized by DFT (PBE).

Atomic structure:
```
data_Ho2ZnInCo
_chemical_formula_sum 'Ho4 Zn2 In2 Co2'
_cell_length_a 3.689
_cell_length_b 4.085
_cell_length_c 14.112
_cell_angle_alpha 90.00
_cell_angle_beta 90.00
_cell_angle_gamma 90.00
_symmetry_space_group_name_H-M 'A m m 2'
_symmetry_Int_Tables_number 38
loop_
_symmetry_equiv_pos_as_xyz
'x,y,z'
'-x,-y,z'
'-x,y,z'
'x,-y,z'
'x,y+1/2,z+1/2'
'-x,-y+1/2,z+1/2'
'-x,y+1/2,z+1/2'
'x,-y+1/2,z+1/2'
loop_
_atom_site_label
_atom_site_type_symbol
_atom_site_fract_x
_atom_site_fract_y
_atom_site_fract_z
_atom_site_occupancy
Ho1 Ho 0.000 0.000 0.000 1
Ho2 Ho 0.000 0.000 0.272 1
Zn1 Zn 0.500 0.000 0.837 1
In1 In 0.500 0.000 0.629 1
Co1 Co 0.500 0.000 0.431 1
```

Most intense lines, 2θ = 10–90°, by intensity:
index	two_theta	I_rel
1 1 1	33.3	100
1 0 4	35.2	73
0 1 3	29.0	43
0 1 5	38.8	36
1 1 3	38.0	35
1 2 4	57.8	34
0 2 0	44.4	27
2 0 0	49.4	20
1 1 7	56.7	15
2 1 5	64.5	15

---

This entry pairs a crystal structure of LiHoCoS3 with its simulated powder X-ray diffraction pattern. Radiation: Cu Kα X-rays. Structure: a structure optimized by DFT (PBE).

Atomic structure:
```
data_LiHoCoS3
_chemical_formula_sum 'Li4 Ho4 Co4 S12'
_cell_length_a 3.732
_cell_length_b 11.886
_cell_length_c 10.316
_cell_angle_alpha 90.00
_cell_angle_beta 90.00
_cell_angle_gamma 90.00
_symmetry_space_group_name_H-M 'C m c m'
_symmetry_Int_Tables_number 63
_symmetry_space_group_name_Hall '-C 2c 2'
loop_
_atom_site_label
_atom_site_type_symbol
_atom_site_fract_x
_atom_site_fract_y
_atom_site_fract_z
_atom_site_occupancy
Li1 Li 0.000 0.227 0.250 1
Ho1 Ho 0.000 0.000 0.000 1
Co1 Co 0.000 0.482 0.750 1
S1 S 0.000 0.088 0.750 1
S2 S 0.000 0.357 0.587 1
```

Most intense lines, 2θ = 10–90°, by intensity:
index	two_theta	I_rel
0 2 0	14.9	100
1 3 2	37.4	56
1 1 2	30.5	46
1 5 2	48.7	27
0 2 4	38.0	24
0 0 4	34.8	18
1 3 0	33.0	15
1 1 4	43.3	13
0 0 2	17.2	13
0 4 4	46.6	13

---

This entry pairs a crystal structure of LiHoCoTe3 with its simulated powder X-ray diffraction pattern. Radiation: Cu Kα X-rays. Structure: a structure optimized by DFT (PBE).

Atomic structure:
```
data_LiHoCoTe3
_chemical_formula_sum 'Li4 Ho4 Co4 Te12'
_cell_length_a 4.064
_cell_length_b 14.201
_cell_length_c 11.140
_cell_angle_alpha 90.00
_cell_angle_beta 90.00
_cell_angle_gamma 90.00
_symmetry_space_group_name_H-M 'C m c m'
_symmetry_Int_Tables_number 63
_symmetry_space_group_name_Hall '-C 2c 2'
loop_
_atom_site_label
_atom_site_type_symbol
_atom_site_fract_x
_atom_site_fract_y
_atom_site_fract_z
_atom_site_occupancy
Li1 Li 0.000 0.190 0.250 1
Ho1 Ho 0.000 0.000 0.000 1
Co1 Co 0.000 0.477 0.750 1
Te1 Te 0.000 0.088 0.750 1
Te2 Te 0.000 0.354 0.577 1
```

Most intense lines, 2θ = 10–90°, by intensity:
index	two_theta	I_rel
1 3 2	33.2	100
0 2 0	12.5	77
0 2 3	27.1	61
1 3 0	29.0	49
1 5 2	42.1	40
1 1 1	24.1	40
1 3 1	30.1	34
1 5 3	46.0	30
1 1 4	39.7	28
2 0 0	44.6	27

---

This entry pairs a crystal structure of YHoMgCo2 with its simulated powder X-ray diffraction pattern. Radiation: Cu Kα X-rays. Structure: a structure optimized by DFT (PBE).

Atomic structure:
```
data_YHoMgCo2
_chemical_formula_sum 'Y2 Ho2 Mg2 Co4'
_cell_length_a 4.193
_cell_length_b 5.656
_cell_length_c 8.242
_cell_angle_alpha 90.00
_cell_angle_beta 90.00
_cell_angle_gamma 90.00
_symmetry_space_group_name_H-M 'I m m 2'
_symmetry_Int_Tables_number 44
loop_
_symmetry_equiv_pos_as_xyz
'x,y,z'
'-x,-y,z'
'-x,y,z'
'x,-y,z'
'x+1/2,y+1/2,z+1/2'
'-x+1/2,-y+1/2,z+1/2'
'-x+1/2,y+1/2,z+1/2'
'x+1/2,-y+1/2,z+1/2'
loop_
_atom_site_label
_atom_site_type_symbol
_atom_site_fract_x
_atom_site_fract_y
_atom_site_fract_z
_atom_site_occupancy
Y1 Y 0.000 0.000 0.000 1
Ho1 Ho 0.000 0.000 0.416 1
Mg1 Mg 0.000 0.500 0.208 1
Co1 Co 0.000 0.301 0.709 1
```

Most intense lines, 2θ = 10–90°, by intensity:
index	two_theta	I_rel
1 1 2	34.4	100
1 1 0	26.5	42
0 2 2	38.6	38
1 0 3	39.2	34
1 2 1	40.0	33
0 1 1	19.0	29
2 0 0	43.1	26
2 2 2	59.3	21
1 2 5	69.7	20
1 3 0	53.3	19

---

Copy entry 1 word for word.
This entry pairs a crystal structure of Ho2In8Co with its simulated powder X-ray diffraction pattern. Radiation: Cu Kα X-rays. Structure: a structure optimized by DFT (PBE).

Atomic structure:
```
data_Ho2In8Co
_chemical_formula_sum 'Ho2 In8 Co1'
_cell_length_a 4.596
_cell_length_b 4.596
_cell_length_c 12.153
_cell_angle_alpha 90.00
_cell_angle_beta 90.00
_cell_angle_gamma 90.00
_symmetry_space_group_name_H-M 'P 4/m m m'
_symmetry_Int_Tables_number 123
_symmetry_space_group_name_Hall '-P 4 2'
loop_
_atom_site_label
_atom_site_type_symbol
_atom_site_fract_x
_atom_site_fract_y
_atom_site_fract_z
_atom_site_occupancy
Ho1 Ho 0.000 0.000 0.194 1
In1 In 0.000 0.500 0.000 1
In2 In 0.000 0.500 0.380 1
In3 In 0.500 0.500 0.193 1
Co1 Co 0.000 0.000 0.500 1
```

Most intense lines, 2θ = 10–90°, by intensity:
index	two_theta	I_rel
1 1 3	35.4	100
2 0 0	39.2	56
1 1 2	31.2	47
2 0 5	55.0	28
3 1 3	68.6	28
0 0 5	37.0	23
2 2 0	56.7	19
1 1 8	68.1	16
2 2 5	69.6	14
3 1 2	66.1	11